Entry 1:
The following is a theoretical powder X-ray diffraction pattern of Tm3MnAg3Se8. It was derived from a structure optimized by DFT (GGA-PBE), using Cu Ka.
Lines closer than 0.1° are merged.

Crystal structure
```
15
Lattice="6.9384 -4.0062 0.0000 6.9384 4.0062 0.0000 -4.6511 0.0000 6.6931" Properties=species:S:1:pos:R:3 pbc="T T T"
Tm 0.0000 0.0000 0.0000
Tm 3.4692 2.0031 0.0000
Tm 3.4692 -2.0031 0.0000
Mn 6.9384 0.0000 0.0000
Ag 1.1436 2.0031 3.3466
Ag 1.1436 -2.0031 3.3466
Ag 4.6129 0.0000 3.3466
Se 2.3124 0.0000 1.5967
Se 5.8940 1.8087 1.4916
Se 0.1985 0.0000 5.2020
Se 3.3318 1.8087 5.2015
Se 5.8940 -1.8087 1.4916
Se 9.0272 0.0000 1.4911
Se 3.3318 -1.8087 5.2015
Se 6.9133 0.0000 5.0965
```

Principal peaks in the range 10° ≤ 2θ ≤ 90°, low angle first:
2θ/deg, I_rel
13.23, 11
15.52, 11
31.34, 100
44.47, 12
44.60, 24
45.27, 34
56.13, 11
74.87, 9

***

Entry 2:
The following is a theoretical powder X-ray diffraction pattern of MnTcAg. It was derived from a structure optimized by DFT (GGA-PBE), using Cu Ka.
Lines closer than 0.1° are merged.

Crystal structure
```
6
Lattice="2.8285 0.0000 0.0000 0.0000 2.8285 0.0000 0.0000 0.0000 11.0619" Properties=species:S:1:pos:R:3 pbc="T T T"
Mn 0.0000 0.0000 0.0000
Mn 1.4142 1.4142 5.5310
Tc 0.0000 0.0000 4.1922
Tc 1.4142 1.4142 9.7232
Ag 0.0000 0.0000 7.5328
Ag 1.4142 1.4142 2.0019
```

Principal peaks in the range 10° ≤ 2θ ≤ 90°, low angle first:
2θ/deg, I_rel
32.37, 13
32.68, 14
40.18, 100
45.34, 39
66.07, 12
67.95, 12
69.32, 13
80.23, 24